This entry pairs a crystal structure of Tc2Os5Ru4 with its simulated powder X-ray diffraction pattern. Radiation: copper Kα. Structure: a GGA-PBE-relaxed structure.
Intensities are scaled so that the largest is 100.

Top 6 peaks for 2θ = 15–90°, by intensity:
hkl, 2θ/deg, I/Imax
1 2 -1, 40.57, 100
0 1 2, 40.66, 100
2 0 1, 47.31, 64
1 1 -3, 47.14, 33
1 3 1, 69.13, 31
2 1 3, 83.43, 25

Atomic structure:
Lattice parameters (Å, degrees): 4.712 6.079 6.089 107.55 97.63 104.76
Space group P-1 (No. 2)
Symmetry-distinct sites (fractional):
1 Tc 0.093 0.363 0.318 (multiplicity 2)
2 Os 0.000 0.000 0.500 (multiplicity 1)
3 Os 0.274 0.094 0.955 (multiplicity 2)
4 Os 0.363 0.453 0.773 (multiplicity 2)
5 Ru 0.182 0.727 0.136 (multiplicity 2)
6 Ru 0.455 0.818 0.591 (multiplicity 2)

=====

This entry pairs a crystal structure of Tc3Os2Ru4 with its simulated powder X-ray diffraction pattern. Radiation: copper Kα. Structure: a GGA-PBE-relaxed structure.
Intensities are scaled so that the largest is 100.

Top 6 peaks for 2θ = 15–90°, by intensity:
hkl, 2θ/deg, I/Imax
0 4 0, 39.55, 100
4 2 1, 42.79, 82
1 1 -2, 40.04, 56
5 3 -1, 48.96, 30
1 3 -2, 49.37, 25
6 2 -3, 73.62, 17

Atomic structure:
Lattice parameters (Å, degrees): 12.572 9.119 4.648 90.00 99.76 90.00
Space group C2/c (No. 15)
Symmetry-distinct sites (fractional):
1 Tc 0.000 0.156 0.250 (multiplicity 4)
2 Tc 0.164 0.344 0.086 (multiplicity 8)
3 Os 0.103 0.113 0.790 (multiplicity 8)
4 Ru 0.064 0.392 0.546 (multiplicity 8)
5 Ru 0.228 0.108 0.374 (multiplicity 8)

=====

This entry pairs a crystal structure of Tc2OsRu with its simulated powder X-ray diffraction pattern. Radiation: copper Kα. Structure: a GGA-PBE-relaxed structure.
Intensities are scaled so that the largest is 100.

Top 6 peaks for 2θ = 15–90°, by intensity:
hkl, 2θ/deg, I/Imax
2 0 1, 41.73, 100
2 0 -3, 45.12, 87
0 0 4, 40.90, 54
0 2 0, 68.52, 35
1 1 -1, 38.56, 32
3 1 3, 83.04, 27

Atomic structure:
Lattice parameters (Å, degrees): 4.746 2.738 8.969 90.00 100.28 90.00
Space group Cm (No. 8)
Symmetry-distinct sites (fractional):
1 Tc 0.000 0.000 0.000 (multiplicity 2)
2 Tc 0.168 0.000 0.496 (multiplicity 2)
3 Os 0.419 0.000 0.251 (multiplicity 2)
4 Ru 0.085 0.500 0.744 (multiplicity 2)

=====

This entry pairs a crystal structure of TcOs2Ru3 with its simulated powder X-ray diffraction pattern. Radiation: copper Kα. Structure: a GGA-PBE-relaxed structure.
Intensities are scaled so that the largest is 100.

Top 6 peaks for 2θ = 15–90°, by intensity:
hkl, 2θ/deg, I/Imax
3 1 0, 40.69, 100
2 0 2, 47.34, 49
2 2 2, 69.17, 26
3 3 0, 83.43, 19
5 1 2, 83.54, 19
6 2 0, 88.11, 11

Atomic structure:
Lattice parameters (Å, degrees): 8.582 3.844 5.432 90.00 108.50 90.00
Space group C2/m (No. 12)
Symmetry-distinct sites (fractional):
1 Tc 0.000 0.000 0.000 (multiplicity 2)
2 Os 0.168 0.500 0.334 (multiplicity 4)
3 Ru 0.000 0.000 0.500 (multiplicity 2)
4 Ru 0.166 0.500 0.833 (multiplicity 4)

=====

This entry pairs a crystal structure of Tc2OsRu5 with its simulated powder X-ray diffraction pattern. Radiation: copper Kα. Structure: a GGA-PBE-relaxed structure.
Intensities are scaled so that the largest is 100.

Top 6 peaks for 2θ = 15–90°, by intensity:
hkl, 2θ/deg, I/Imax
2 2 2, 43.49, 100
0 0 4, 37.92, 25
0 4 0, 41.74, 25
4 4 0, 83.52, 20
2 6 2, 77.42, 18
4 0 0, 68.49, 17

Atomic structure:
Lattice parameters (Å, degrees): 5.480 8.657 9.491 90.00 90.00 90.00
Space group Fmm2 (No. 42)
Symmetry-distinct sites (fractional):
1 Tc 0.000 0.249 0.000 (multiplicity 8)
2 Os 0.000 0.000 0.166 (multiplicity 4)
3 Ru 0.000 0.000 0.666 (multiplicity 4)
4 Ru 0.249 0.000 0.417 (multiplicity 8)
5 Ru 0.250 0.250 0.247 (multiplicity 8)

=====

This entry pairs a crystal structure of TcOs4Ru2 with its simulated powder X-ray diffraction pattern. Radiation: copper Kα. Structure: a GGA-PBE-relaxed structure.
Intensities are scaled so that the largest is 100.

Top 6 peaks for 2θ = 15–90°, by intensity:
hkl, 2θ/deg, I/Imax
1 1 -2, 41.17, 100
1 1 2, 41.53, 96
0 0 2, 23.89, 34
0 2 0, 47.63, 33
2 0 0, 47.80, 32
1 1 0, 33.24, 31

Atomic structure:
Lattice parameters (Å, degrees): 3.806 3.819 7.449 90.00 90.71 90.00
Space group P2/m (No. 10)
Symmetry-distinct sites (fractional):
1 Tc 0.000 0.000 0.000 (multiplicity 1)
2 Os 0.012 0.500 0.260 (multiplicity 2)
3 Os 0.498 0.000 0.742 (multiplicity 2)
4 Ru 0.000 0.000 0.500 (multiplicity 1)
5 Ru 0.500 0.500 0.000 (multiplicity 1)

=====

This entry pairs a crystal structure of VTcOsRu2 with its simulated powder X-ray diffraction pattern. Radiation: copper Kα. Structure: a GGA-PBE-relaxed structure.
Intensities are scaled so that the largest is 100.

Top 6 peaks for 2θ = 15–90°, by intensity:
hkl, 2θ/deg, I/Imax
0 0 1, 19.18, 100
2 0 0, 38.93, 87
2 2 0, 56.24, 59
2 0 1, 43.75, 49
1 0 1, 27.26, 27
2 2 1, 59.98, 23

Atomic structure:
Lattice parameters (Å, degrees): 4.629 4.629 4.621 90.00 90.00 90.00
Space group P4/mmm (No. 123)
Symmetry-distinct sites (fractional):
1 V 0.000 0.000 0.000 (multiplicity 1)
2 Tc 0.500 0.500 0.000 (multiplicity 1)
3 Os 0.500 0.500 0.500 (multiplicity 1)
4 Ru 0.000 0.500 0.500 (multiplicity 2)